1.
Calculated powder diffractogram
Compound: NaMg6W
Radiation: Cu Kα
Structure: the PBE geometry in Alexandria
Intensities are scaled so that the largest is 100.

Largest 12 diffraction maxima, by angle, 2θ = 10–90°:
2θ/deg, intensity
16.4, 100
17.8, 25
24.3, 65
28.7, 24
33.2, 35
34.0, 31
36.1, 24
37.9, 99
39.9, 22
48.2, 28
49.9, 22
66.1, 19

Cell and atoms:
a = 6.2287 Å, b = 6.2287 Å, c = 4.9758 Å
α = 90.00°, β = 90.00°, γ = 120.00°
Fractional positions:
Na1 0.0000 0.0000 0.0000
Mg1 0.0258 0.5129 0.0000
Mg2 0.3382 0.1691 0.5000
Mg3 0.4871 0.5129 0.0000
Mg4 0.4871 0.9742 0.0000
Mg5 0.8309 0.1691 0.5000
Mg6 0.8309 0.6618 0.5000
W1 0.3333 0.6667 0.5000



2.
Calculated powder diffractogram
Compound: Cs2PbAu2I6
Radiation: Cu Kα
Structure: the PBE geometry in Alexandria
Intensities are scaled so that the largest is 100.

Largest 12 diffraction maxima, by angle, 2θ = 10–90°:
2θ/deg, intensity
14.2, 68
19.8, 50
21.2, 100
21.4, 84
25.4, 61
27.3, 41
27.8, 46
28.6, 87
32.4, 39
35.0, 42
35.5, 70
40.2, 39

Cell and atoms:
a = 8.5502 Å, b = 8.5502 Å, c = 9.6776 Å
α = 116.03°, β = 116.03°, γ = 63.22°
Fractional positions:
Cs1 0.2323 0.2323 0.2440
Cs2 0.7677 0.7677 0.7560
Pb1 0.0000 0.0000 0.5000
Au1 0.4989 0.4989 0.2272
Au2 0.5011 0.5011 0.7728
I1 0.1729 0.7444 0.1960
I2 0.2541 0.2541 0.6550
I3 0.2556 0.8271 0.8040
I4 0.7444 0.1729 0.1960
I5 0.7459 0.7459 0.3450
I6 0.8271 0.2556 0.8040